(1)
Starting from a cell relaxed with GGA-PBE, the XRD peak list of TaBi4ClO8 was calculated for Cu Ka.
Lines closer than 0.1° are merged.

Structure:
Cell lengths 5.524, 5.590, 29.426 Å; angles 90.00, 90.00, 90.00 degrees
Sites, in units of the cell vectors:
Ta 0.000 0.011 0.250
Ta 0.000 0.989 0.750
Ta 0.500 0.489 0.750
Ta 0.500 0.511 0.250
Bi 0.010 0.023 0.569
Bi 0.010 0.977 0.069
Bi 0.023 0.437 0.343
Bi 0.023 0.563 0.843
Bi 0.477 0.063 0.843
Bi 0.477 0.937 0.343
Bi 0.490 0.477 0.069
Bi 0.490 0.523 0.569
Bi 0.510 0.477 0.431
Bi 0.510 0.523 0.931
Bi 0.523 0.063 0.657
Bi 0.523 0.937 0.157
Bi 0.977 0.437 0.157
Bi 0.977 0.563 0.657
Bi 0.990 0.023 0.931
Bi 0.990 0.977 0.431
Cl 0.000 0.500 0.000
Cl 0.000 0.500 0.500
Cl 0.500 0.000 0.000
Cl 0.500 0.000 0.500
O 0.100 0.061 0.315
O 0.100 0.939 0.815
O 0.244 0.231 0.107
O 0.244 0.769 0.607
O 0.246 0.291 0.235
O 0.246 0.709 0.735
O 0.247 0.262 0.894
O 0.247 0.738 0.394
O 0.253 0.238 0.394
O 0.253 0.762 0.894
O 0.254 0.209 0.735
O 0.254 0.791 0.235
O 0.256 0.269 0.607
O 0.256 0.731 0.107
O 0.400 0.439 0.815
O 0.400 0.561 0.315
O 0.600 0.439 0.685
O 0.600 0.561 0.185
O 0.744 0.269 0.893
O 0.744 0.731 0.393
O 0.746 0.209 0.765
O 0.746 0.791 0.265
O 0.747 0.238 0.106
O 0.747 0.762 0.606
O 0.753 0.262 0.606
O 0.753 0.738 0.106
O 0.754 0.291 0.265
O 0.754 0.709 0.765
O 0.756 0.231 0.393
O 0.756 0.769 0.893
O 0.900 0.061 0.185
O 0.900 0.939 0.685

Largest 10 diffraction maxima, most intense first, 15° ≤ 2θ ≤ 90°:
two_theta	I/Imax
29.12	100.0
32.41	20.3
25.70	19.0
46.21	17.4
32.02	16.6
55.81	16.6
55.14	16.5
30.38	10.3
55.30	9.3
45.01	9.3

(2)
Starting from a cell relaxed with GGA-PBE, the XRD peak list of Rb2LiBiF6 was calculated for Cu Ka.
Lines closer than 0.1° are merged.

Structure:
Cell lengths 6.260, 6.260, 6.260 Å; angles 60.00, 60.00, 60.00 degrees
Sites, in units of the cell vectors:
Rb 0.250 0.250 0.250
Rb 0.750 0.750 0.750
Li 0.000 0.000 0.000
Bi 0.500 0.500 0.500
F 0.242 0.242 0.758
F 0.242 0.758 0.242
F 0.242 0.758 0.758
F 0.758 0.242 0.242
F 0.758 0.242 0.758
F 0.758 0.758 0.242

Largest 10 diffraction maxima, most intense first, 15° ≤ 2θ ≤ 90°:
two_theta	I/Imax
28.52	100.0
17.35	67.7
33.57	45.6
50.50	42.6
40.77	40.3
59.02	25.5
81.33	23.2
44.61	22.6
66.83	19.2
53.80	15.5